1.
Theoretical powder XRD pattern
Compound: Li4MnSi3O9
Radiation: Cu Kα
Structure: a GGA+U-relaxed structure
Neutral-atom scattering factors, no anomalous dispersion.

Structure:
```
data_Li4MnSi3O9
_cell_length_a 7.517
_cell_length_b 10.245
_cell_length_c 10.127
_cell_angle_alpha 90.00
_cell_angle_beta 91.62
_cell_angle_gamma 90.00
_space_group_name_H-M_alt 'C 1 2 1'
_space_group_IT_number 5
_space_group_name_Hall 'C 2y'
loop_
_atom_site_label
_atom_site_fract_x
_atom_site_fract_y
_atom_site_fract_z
Li1 0.000 0.000 0.000
Li2 0.000 0.002 0.500
Li3 0.000 0.548 0.000
Li4 0.000 0.634 0.500
Li5 0.138 0.330 0.708
Li6 0.215 0.600 0.294
Mn1 0.001 0.832 0.756
Si1 0.189 0.325 0.446
Si2 0.202 0.279 0.001
Si3 0.229 0.116 0.248
O1 0.000 0.353 0.000
O2 0.000 0.395 0.500
O3 0.059 0.635 0.724
O4 0.109 0.232 0.321
O5 0.163 0.877 0.922
O6 0.172 0.974 0.297
O7 0.181 0.137 0.086
O8 0.187 0.937 0.616
O9 0.222 0.733 0.441
O10 0.247 0.736 0.147
```

Peak list (6 most intense, 10 to 90 degrees two-theta, by angle)
2θ 14.6, I = 25, (1 1 0)
2θ 16.9, I = 32, (1 1 -1)
2θ 17.3, I = 100, (0 2 0)
2θ 22.6, I = 30, (1 1 -2)
2θ 23.2, I = 66, (1 1 2)
2θ 34.1, I = 53, (2 2 -2)

---

2.
Theoretical powder XRD pattern
Compound: MgMnV4O12
Radiation: Cu Kα
Structure: a GGA+U-relaxed structure
Neutral-atom scattering factors, no anomalous dispersion.

Structure:
```
data_MgMnV4O12
_cell_length_a 5.050
_cell_length_b 5.373
_cell_length_c 7.574
_cell_angle_alpha 95.40
_cell_angle_beta 90.90
_cell_angle_gamma 90.05
_space_group_name_H-M_alt 'P 1'
_space_group_IT_number 1
_space_group_name_Hall 'P 1'
loop_
_atom_site_label
_atom_site_fract_x
_atom_site_fract_y
_atom_site_fract_z
Mg1 0.000 0.000 0.000
Mn1 0.510 0.486 0.514
V1 0.010 0.558 0.224
V2 0.494 0.068 0.726
V3 0.504 0.062 0.217
V4 0.997 0.580 0.735
O1 0.148 0.599 0.437
O2 0.171 0.899 0.761
O3 0.188 0.297 0.134
O4 0.280 0.391 0.742
O5 0.291 0.818 0.147
O6 0.408 0.127 0.440
O7 0.618 0.095 0.945
O8 0.680 0.778 0.628
O9 0.703 0.420 0.261
O10 0.779 0.317 0.643
O11 0.803 0.908 0.235
O12 0.902 0.608 0.951
```

Peak list (6 most intense, 10 to 90 degrees two-theta, by angle)
2θ 21.3, I = 38, (1 0 1)
2θ 23.6, I = 51, (0 0 2)
2θ 24.2, I = 100, (1 -1 0)
2θ 32.7, I = 44, (1 1 -2)
2θ 33.1, I = 41, (1 -1 2)
2θ 33.5, I = 36, (0 2 0)

---

3.
Theoretical powder XRD pattern
Compound: K2Cr2NiO10
Radiation: Cu Kα
Structure: a GGA+U-relaxed structure
Neutral-atom scattering factors, no anomalous dispersion.

Structure:
```
data_K2Cr2NiO10
_cell_length_a 5.515
_cell_length_b 6.599
_cell_length_c 7.534
_cell_angle_alpha 110.92
_cell_angle_beta 94.13
_cell_angle_gamma 106.55
_space_group_name_H-M_alt 'P -1'
_space_group_IT_number 2
_space_group_name_Hall '-P 1'
loop_
_atom_site_label
_atom_site_fract_x
_atom_site_fract_y
_atom_site_fract_z
K1 0.209 0.321 0.236
Cr1 0.139 0.296 0.725
Ni1 0.500 0.000 0.500
O1 0.107 0.126 0.841
O2 0.144 0.757 0.420
O3 0.233 0.564 0.877
O4 0.365 0.263 0.582
O5 0.469 0.994 0.266
```

Peak list (6 most intense, 10 to 90 degrees two-theta, by angle)
2θ 12.8, I = 62, (0 0 1)
2θ 15.6, I = 100, (0 1 -1)
2θ 24.3, I = 76, (0 1 -2)
2θ 26.6, I = 81, (1 1 0)
2θ 29.8, I = 70, (1 -2 0)
2θ 32.8, I = 46, (2 -1 0)

---

4.
Theoretical powder XRD pattern
Compound: LiFeSi4O10
Radiation: Cu Kα
Structure: a GGA+U-relaxed structure
Neutral-atom scattering factors, no anomalous dispersion.

Structure:
```
data_LiFeSi4O10
_cell_length_a 7.855
_cell_length_b 5.259
_cell_length_c 12.082
_cell_angle_alpha 90.00
_cell_angle_beta 112.75
_cell_angle_gamma 90.00
_space_group_name_H-M_alt 'P 1 2/c 1'
_space_group_IT_number 13
_space_group_name_Hall '-P 2yc'
loop_
_atom_site_label
_atom_site_fract_x
_atom_site_fract_y
_atom_site_fract_z
Li1 0.000 0.246 0.250
Fe1 0.000 0.254 0.750
Si1 0.294 0.021 0.500
Si2 0.294 0.480 0.148
O1 0.139 0.014 0.865
O2 0.140 0.493 0.706
O3 0.264 0.304 0.544
O4 0.271 0.195 0.090
O5 0.500 0.000 0.000
O6 0.500 0.485 0.750
```

Peak list (6 most intense, 10 to 90 degrees two-theta, by angle)
2θ 23.3, I = 93, (0 1 2)
2θ 23.6, I = 100, (2 0 -2)
2θ 28.1, I = 13, (1 1 -3)
2θ 42.5, I = 10, (3 1 -4)
2θ 45.8, I = 15, (1 2 -4)
2θ 61.1, I = 13, (3 2 -6)

---

5.
Theoretical powder XRD pattern
Compound: Na3Fe2P3O12
Radiation: Cu Kα
Structure: a GGA+U-relaxed structure
Neutral-atom scattering factors, no anomalous dispersion.

Structure:
```
data_Na3Fe2P3O12
_cell_length_a 15.308
_cell_length_b 8.867
_cell_length_c 8.909
_cell_angle_alpha 90.00
_cell_angle_beta 125.58
_cell_angle_gamma 90.00
_space_group_name_H-M_alt 'C 1 2/c 1'
_space_group_IT_number 15
_space_group_name_Hall '-C 2yc'
loop_
_atom_site_label
_atom_site_fract_x
_atom_site_fract_y
_atom_site_fract_z
Na1 0.179 0.070 0.241
Na2 0.250 0.250 0.000
Fe1 0.102 0.256 0.558
P1 0.000 0.044 0.750
P2 0.149 0.401 0.261
O1 0.042 0.333 0.099
O2 0.071 0.056 0.425
O3 0.079 0.141 0.737
O4 0.158 0.426 0.748
O5 0.165 0.367 0.446
O6 0.239 0.326 0.254
```

Peak list (6 most intense, 10 to 90 degrees two-theta, by angle)
2θ 20.0, I = 52, (2 0 -2)
2θ 20.1, I = 89, (3 1 -1)
2θ 23.5, I = 78, (0 2 1)
2θ 31.8, I = 56, (3 1 -3)
2θ 31.9, I = 64, (0 2 2)
2θ 35.1, I = 100, (3 3 -1)

---

6.
Theoretical powder XRD pattern
Compound: Ba2V2FeO9
Radiation: Cu Kα
Structure: a GGA+U-relaxed structure
Neutral-atom scattering factors, no anomalous dispersion.

Structure:
```
data_Ba2V2FeO9
_cell_length_a 8.272
_cell_length_b 6.064
_cell_length_c 9.336
_cell_angle_alpha 90.00
_cell_angle_beta 113.31
_cell_angle_gamma 90.00
_space_group_name_H-M_alt 'P 1 21/m 1'
_space_group_IT_number 11
_space_group_name_Hall '-P 2yb'
loop_
_atom_site_label
_atom_site_fract_x
_atom_site_fract_y
_atom_site_fract_z
Ba1 0.183 0.250 0.090
Ba2 0.226 0.750 0.737
V1 0.069 0.750 0.323
V2 0.455 0.750 0.168
Fe1 0.500 0.000 0.500
O1 0.002 0.522 0.202
O2 0.040 0.250 0.557
O3 0.239 0.750 0.045
O4 0.308 0.750 0.447
O5 0.355 0.250 0.442
O6 0.423 0.250 0.942
O7 0.497 0.506 0.286
```

Peak list (6 most intense, 10 to 90 degrees two-theta, by angle)
2θ 23.6, I = 23, (1 1 1)
2θ 26.1, I = 100, (2 1 -1)
2θ 28.7, I = 44, (1 0 -3)
2θ 29.5, I = 32, (0 2 0)
2θ 31.4, I = 59, (1 1 2)
2θ 41.6, I = 27, (1 2 -3)